(1)
Theoretical powder diffractogram of KCuS3 for CuKα, from a cell relaxed with PBE.
Peak positions follow from Bragg's law for the DFT cell and can differ from measured ones.

The 8 most intense peaks (5 to 70 degrees two-theta), by intensity:
2θ 11.63, rel. 100, hkl 0 0 1
2θ 24.31, rel. 93, hkl 0 1 1
2θ 41.47, rel. 84, hkl 1 1 2
2θ 35.17, rel. 49, hkl 1 0 2
2θ 49.72, rel. 43, hkl 1 1 3
2θ 43.33, rel. 34, hkl 0 2 0
2θ 35.82, rel. 30, hkl 1 1 1
2θ 31.81, rel. 22, hkl 0 1 2

Structure:
```
data_KCuS3
_space_group_name_H-M_alt 'P m m 2'
_space_group_IT_number 25
_space_group_name_Hall 'P 2 -2'
_cell_length_a 3.4389
_cell_length_b 4.1767
_cell_length_c 7.6107
_cell_angle_alpha 90.00
_cell_angle_beta 90.00
_cell_angle_gamma 90.00
loop_
_atom_site_label
_atom_site_fract_x
_atom_site_fract_y
_atom_site_fract_z
K1 0.0000 0.0000 0.0000
Cu1 0.0000 0.5000 0.6092
S1 0.0000 0.0000 0.4151
S2 0.5000 0.5000 0.3926
S3 0.5000 0.5000 0.8059
```

---

(2)
Theoretical powder diffractogram of SiO2 for CuKα, from a cell relaxed with PBE.
Peak positions follow from Bragg's law for the DFT cell and can differ from measured ones.

The 8 most intense peaks (5 to 70 degrees two-theta), by intensity:
2θ 6.79, rel. 100, hkl 1 1 0
2θ 20.04, rel. 68, hkl 2 0 1
2θ 8.67, rel. 62, hkl 0 2 0
2θ 22.43, rel. 40, hkl 1 5 0
2θ 10.47, rel. 15, hkl 2 0 0
2θ 21.02, rel. 13, hkl 4 0 0
2θ 26.99, rel. 12, hkl 3 5 0
2θ 20.47, rel. 12, hkl 3 3 0

Structure:
```
data_SiO2
_space_group_name_H-M_alt 'C 2 2 2'
_space_group_IT_number 21
_space_group_name_Hall 'C 2 2'
_cell_length_a 16.9052
_cell_length_b 20.3878
_cell_length_c 5.2030
_cell_angle_alpha 90.00
_cell_angle_beta 90.00
_cell_angle_gamma 90.00
loop_
_atom_site_label
_atom_site_fract_x
_atom_site_fract_y
_atom_site_fract_z
Si1 0.0921 0.1210 0.0344
Si2 0.0923 0.2788 0.0285
Si3 0.1840 0.0762 0.5332
Si4 0.1891 0.3115 0.5313
O1 0.0000 0.1005 0.0000
O2 0.0000 0.2991 0.0000
O3 0.1028 0.1998 0.0039
O4 0.1187 0.0976 0.3195
O5 0.1238 0.3041 0.3052
O6 0.1436 0.3142 0.8053
O7 0.1462 0.0854 0.8183
O8 0.2091 0.0000 0.5000
O9 0.2368 0.3799 0.4963
O10 0.2500 0.2500 0.5224
```

---

(3)
Theoretical powder diffractogram of Sm3AlCoS7 for CuKα, from a cell relaxed with PBE.
Peak positions follow from Bragg's law for the DFT cell and can differ from measured ones.

The 8 most intense peaks (5 to 70 degrees two-theta), by intensity:
2θ 25.59, rel. 100, hkl 2 0 1
2θ 17.81, rel. 43, hkl 1 0 1
2θ 36.07, rel. 35, hkl 2 0 2
2θ 35.09, rel. 34, hkl 3 0 1
2θ 40.70, rel. 33, hkl 2 1 2
2θ 36.94, rel. 33, hkl 2 2 0
2θ 28.01, rel. 31, hkl 2 1 0
2θ 41.29, rel. 29, hkl 1 3 1

Structure:
```
data_Sm3AlCoS7
_space_group_name_H-M_alt 'P 63'
_space_group_IT_number 173
_space_group_name_Hall 'P 6c'
_cell_length_a 9.7334
_cell_length_b 9.7334
_cell_length_c 6.1726
_cell_angle_alpha 90.00
_cell_angle_beta 90.00
_cell_angle_gamma 120.00
loop_
_atom_site_label
_atom_site_fract_x
_atom_site_fract_y
_atom_site_fract_z
Sm1 0.1503 0.7760 0.0000
Al1 0.3333 0.6667 0.5753
Co1 0.0000 0.0000 0.1635
S1 0.0894 0.8730 0.4076
S2 0.0935 0.5195 0.7238
S3 0.3333 0.6667 0.2137
```

---

(4)
Theoretical powder diffractogram of La4Ti2Se5O4 for CuKα, from a cell relaxed with PBE.
Peak positions follow from Bragg's law for the DFT cell and can differ from measured ones.

The 8 most intense peaks (5 to 70 degrees two-theta), by intensity:
2θ 33.20, rel. 100, hkl 1 9 1
2θ 32.78, rel. 99, hkl 1 1 5
2θ 44.92, rel. 55, hkl 2 0 0
2θ 27.53, rel. 44, hkl 1 3 3
2θ 35.40, rel. 37, hkl 1 5 5
2θ 37.87, rel. 36, hkl 1 7 5
2θ 29.37, rel. 35, hkl 1 1 4
2θ 33.03, rel. 33, hkl 0 10 4

Structure:
```
data_La4Ti2Se5O4
_space_group_name_H-M_alt 'C m c 21'
_space_group_IT_number 36
_space_group_name_Hall 'C 2c -2'
_cell_length_a 4.0362
_cell_length_b 33.3005
_cell_length_c 18.6855
_cell_angle_alpha 90.00
_cell_angle_beta 90.00
_cell_angle_gamma 90.00
loop_
_atom_site_label
_atom_site_fract_x
_atom_site_fract_y
_atom_site_fract_z
La1 0.0000 0.0423 0.9996
La2 0.0000 0.0658 0.3705
La3 0.0000 0.0658 0.6302
La4 0.0000 0.1842 0.5000
La5 0.0000 0.2414 0.8885
La6 0.0000 0.2425 0.1120
La7 0.0000 0.3968 0.2952
La8 0.0000 0.3969 0.7064
Ti1 0.0000 0.1714 0.3125
Ti2 0.0000 0.1711 0.6880
Ti3 0.0000 0.3704 0.4979
Ti4 0.0000 0.5000 0.2499
Se1 0.0000 0.0268 0.1646
Se2 0.0000 0.0266 0.8345
Se3 0.0000 0.1300 0.0901
Se4 0.0000 0.1356 0.9052
Se5 0.0000 0.2927 0.5007
Se6 0.0000 0.3021 0.2658
Se7 0.0000 0.3024 0.7334
Se8 0.0000 0.3636 0.1002
Se9 0.0000 0.3637 0.8997
Se10 0.0000 0.4666 0.0001
O1 0.0000 0.1162 0.2719
O2 0.0000 0.1162 0.7282
O3 0.0000 0.2162 0.3787
O4 0.0000 0.2160 0.6213
O5 0.0000 0.2792 0.0002
O6 0.0000 0.4271 0.4894
O7 0.0000 0.4489 0.1988
O8 0.0000 0.4488 0.8014
```

---

(5)
Theoretical powder diffractogram of Sn2Rh3S2 for CuKα, from a cell relaxed with PBE.
Peak positions follow from Bragg's law for the DFT cell and can differ from measured ones.

The 8 most intense peaks (5 to 70 degrees two-theta), by intensity:
2θ 38.69, rel. 100, hkl 2 0 2
2θ 45.39, rel. 89, hkl 0 2 4
2θ 19.73, rel. 55, hkl 0 0 3
2θ 36.86, rel. 50, hkl 0 2 1
2θ 40.07, rel. 36, hkl 0 0 6
2θ 65.18, rel. 33, hkl 2 2 0
2θ 31.25, rel. 29, hkl 1 1 0
2θ 49.94, rel. 26, hkl 2 0 5

Structure:
```
data_Sn2Rh3S2
_space_group_name_H-M_alt 'R -3 m'
_space_group_IT_number 166
_space_group_name_Hall '-R 3 2"'
_cell_length_a 5.7250
_cell_length_b 5.7250
_cell_length_c 13.5000
_cell_angle_alpha 90.00
_cell_angle_beta 90.00
_cell_angle_gamma 120.00
loop_
_atom_site_label
_atom_site_fract_x
_atom_site_fract_y
_atom_site_fract_z
Sn1 0.0000 0.0000 0.0000
Sn2 0.0000 0.0000 0.5000
Rh1 0.0000 0.5000 0.0000
S1 0.0000 0.0000 0.2120
```

---

(6)
Theoretical powder diffractogram of Rb2NaScCl6 for CuKα, from a cell relaxed with PBE.
Peak positions follow from Bragg's law for the DFT cell and can differ from measured ones.

The 8 most intense peaks (5 to 70 degrees two-theta), by intensity:
2θ 34.08, rel. 100, hkl 4 0 0
2θ 29.40, rel. 99, hkl 2 2 2
2θ 23.92, rel. 71, hkl 2 2 0
2θ 48.97, rel. 64, hkl 4 4 0
2θ 58.15, rel. 35, hkl 6 2 2
2θ 42.07, rel. 31, hkl 4 2 2
2θ 61.01, rel. 21, hkl 4 4 4
2θ 66.50, rel. 17, hkl 6 4 2

Structure:
```
data_Rb2NaScCl6
_space_group_name_H-M_alt 'F m -3 m'
_space_group_IT_number 225
_space_group_name_Hall '-F 4 2 3'
_cell_length_a 10.5222
_cell_length_b 10.5222
_cell_length_c 10.5222
_cell_angle_alpha 90.00
_cell_angle_beta 90.00
_cell_angle_gamma 90.00
loop_
_atom_site_label
_atom_site_fract_x
_atom_site_fract_y
_atom_site_fract_z
Rb1 0.2500 0.2500 0.2500
Na1 0.0000 0.0000 0.0000
Sc1 0.0000 0.0000 0.5000
Cl1 0.0000 0.0000 0.2626
```

---

- What is the formula in the fourth record?
  La4Ti2Se5O4

---

Copy entry 6 word for word.
Theoretical powder diffractogram of Rb2NaScCl6 for CuKα, from a cell relaxed with PBE.
Peak positions follow from Bragg's law for the DFT cell and can differ from measured ones.

The 8 most intense peaks (5 to 70 degrees two-theta), by intensity:
2θ 34.08, rel. 100, hkl 4 0 0
2θ 29.40, rel. 99, hkl 2 2 2
2θ 23.92, rel. 71, hkl 2 2 0
2θ 48.97, rel. 64, hkl 4 4 0
2θ 58.15, rel. 35, hkl 6 2 2
2θ 42.07, rel. 31, hkl 4 2 2
2θ 61.01, rel. 21, hkl 4 4 4
2θ 66.50, rel. 17, hkl 6 4 2

Structure:
```
data_Rb2NaScCl6
_space_group_name_H-M_alt 'F m -3 m'
_space_group_IT_number 225
_space_group_name_Hall '-F 4 2 3'
_cell_length_a 10.5222
_cell_length_b 10.5222
_cell_length_c 10.5222
_cell_angle_alpha 90.00
_cell_angle_beta 90.00
_cell_angle_gamma 90.00
loop_
_atom_site_label
_atom_site_fract_x
_atom_site_fract_y
_atom_site_fract_z
Rb1 0.2500 0.2500 0.2500
Na1 0.0000 0.0000 0.0000
Sc1 0.0000 0.0000 0.5000
Cl1 0.0000 0.0000 0.2626
```